Simulated powder XRD pattern
Compound: Li5Ni3O5F3
Radiation: Cu Kα (weighted mean of Kα1 and Kα2)
Structure: a GGA+U-relaxed structure
Kinematic intensities with the Lorentz-polarization factor, no thermal factor.

Crystal structure
Unit cell a=5.599 b=5.756 c=5.983 alpha=118.67 beta=117.37 gamma=90.36
Sites, in units of the cell vectors:
Li1 0.000 0.000 0.000
Li2 0.001 0.471 0.009
Li3 0.505 0.496 0.499
Li4 0.512 0.486 0.001
Li5 0.994 0.528 0.477
Ni1 0.004 0.999 0.496
Ni2 0.510 0.001 0.998
Ni3 0.523 0.948 0.531
O1 0.246 0.216 0.494
O2 0.265 0.720 0.533
O3 0.738 0.279 0.456
O4 0.751 0.258 0.991
O5 0.762 0.779 0.500
F1 0.235 0.785 0.968
F2 0.282 0.154 0.064
F3 0.726 0.837 0.933

Largest 6 diffraction maxima, in order of rising 2θ, 15 to 90 degrees two-theta:
2theta, d/Å, I/Imax
18.4, 4.832, 100
33.9, 2.644, 22
40.5, 2.230, 34
45.0, 2.013, 18
45.3, 2.001, 17
62.3, 1.491, 16

Simulated powder XRD pattern
Compound: Li3Ni5OF11
Radiation: Cu Kα (weighted mean of Kα1 and Kα2)
Structure: a GGA+U-relaxed structure
Kinematic intensities with the Lorentz-polarization factor, no thermal factor.

Crystal structure
Unit cell a=5.128 b=5.490 c=8.895 alpha=74.28 beta=89.70 gamma=62.87
Sites, in units of the cell vectors:
Li1 0.000 0.000 0.000
Li2 0.067 0.225 0.355
Li3 0.582 0.718 0.866
Ni1 0.272 0.218 0.754
Ni2 0.301 0.498 0.096
Ni3 0.531 0.488 0.498
Ni4 0.762 0.711 0.260
Ni5 0.806 0.967 0.595
O1 0.772 0.630 0.454
F1 0.233 0.476 0.297
F2 0.257 0.141 0.954
F3 0.257 0.829 0.645
F4 0.313 0.572 0.893
F5 0.316 0.884 0.202
F6 0.362 0.235 0.555
F7 0.715 0.983 0.801
F8 0.744 0.328 0.140
F9 0.819 0.073 0.396
F10 0.824 0.378 0.706
F11 0.858 0.725 0.059

Largest 6 diffraction maxima, in order of rising 2θ, 15 to 90 degrees two-theta:
2theta, d/Å, I/Imax
18.8, 4.729, 58
21.0, 4.238, 64
26.7, 3.339, 63
32.8, 2.730, 100
39.9, 2.260, 55
51.5, 1.775, 52

Simulated powder XRD pattern
Compound: Li6NiOF6
Radiation: Cu Kα (weighted mean of Kα1 and Kα2)
Structure: a GGA+U-relaxed structure
Kinematic intensities with the Lorentz-polarization factor, no thermal factor.

Crystal structure
Unit cell a=10.656 b=10.656 c=5.958 alpha=98.03 beta=98.03 gamma=21.61
Sites, in units of the cell vectors:
Li1 0.067 0.067 0.034
Li2 0.067 0.067 0.534
Li3 0.213 0.213 0.107
Li4 0.213 0.213 0.607
Li5 0.351 0.351 0.175
Li6 0.351 0.351 0.675
Li7 0.649 0.649 0.325
Li8 0.649 0.649 0.825
Li9 0.787 0.787 0.393
Li10 0.787 0.787 0.893
Li11 0.933 0.933 0.466
Li12 0.933 0.933 0.966
Ni1 0.500 0.500 0.250
Ni2 0.500 0.500 0.750
O1 0.000 0.000 0.250
O2 0.000 0.000 0.750
F1 0.146 0.146 0.323
F2 0.146 0.146 0.823
F3 0.285 0.285 0.392
F4 0.285 0.285 0.892
F5 0.426 0.426 0.463
F6 0.426 0.426 0.963
F7 0.574 0.574 0.037
F8 0.574 0.574 0.537
F9 0.715 0.715 0.108
F10 0.715 0.715 0.608
F11 0.854 0.854 0.177
F12 0.854 0.854 0.677

Largest 6 diffraction maxima, in order of rising 2θ, 15 to 90 degrees two-theta:
2theta, d/Å, I/Imax
17.1, 5.180, 37
22.7, 3.923, 44
25.8, 3.457, 46
43.1, 2.100, 100
45.4, 1.997, 52
64.4, 1.447, 49